Li2NiP4O12: simulated XRD peak list (Cu Kα (λ = 1.5418 Å)), based on a crystal structure in Alexandria, relaxed with PBE+U.
No peak broadening, texture or thermal motion is included.

Most intense lines, 10 to 80 degrees two-theta, low angle first:
2θ (°)	intensity
11.6	96
14.9	23
18.3	55
19.7	17
24.0	100
24.9	43
28.8	18
34.8	27
35.0	21
38.7	19

Unit cell a=8.5228 b=8.5228 c=7.6662 alpha=97.51 beta=97.51 gamma=114.14
Atoms (fractional coordinates):
Li 0.0204 0.3149 0.2559
Li 0.3149 0.0204 0.7559
Li 0.6851 0.9796 0.2441
Li 0.9796 0.6851 0.7441
Ni 0.3727 0.6273 0.2500
Ni 0.6273 0.3727 0.7500
P 0.0789 0.7289 0.3782
P 0.2711 0.9211 0.1218
P 0.2920 0.4349 0.8253
P 0.4349 0.2920 0.3253
P 0.5651 0.7080 0.6747
P 0.7080 0.5651 0.1747
P 0.7289 0.0789 0.8782
P 0.9211 0.2711 0.6218
O 0.1257 0.5814 0.3126
O 0.1283 0.3363 0.6580
O 0.1302 0.8698 0.2500
O 0.1399 0.8193 0.5717
O 0.1807 0.8601 0.9283
O 0.2322 0.4821 0.9911
O 0.3235 0.3915 0.3270
O 0.3363 0.1283 0.1580
O 0.3915 0.3235 0.8270
O 0.3918 0.6082 0.7500
O 0.4186 0.8743 0.1874
O 0.4821 0.2322 0.4911
O 0.5179 0.7678 0.5089
O 0.5814 0.1257 0.8126
O 0.6082 0.3918 0.2500
O 0.6085 0.6765 0.1730
O 0.6637 0.8717 0.8420
O 0.6765 0.6085 0.6730
O 0.7678 0.5179 0.0089
O 0.8193 0.1399 0.0717
O 0.8601 0.1807 0.4283
O 0.8698 0.1302 0.7500
O 0.8717 0.6637 0.3420
O 0.8743 0.4186 0.6874